# 1
Theoretical powder diffraction line list of Tb3Y8Zr for CuKα, from a DFT-relaxed cell (GGA-PBE, Alexandria).
No peak broadening, texture or thermal motion is included.

Principal peaks in the range 10 to 90 degrees two-theta, in order of rising 2θ:
two_theta, intensity
17.8, 19
27.5, 31
27.5, 31
30.9, 52
31.5, 91
35.5, 100
41.8, 39
58.0, 23

Structural model:
Lattice parameters (Å, degrees): 6.734 6.734 9.765 90.07 90.07 118.63
Positions (direct):
Tb 0.000 0.000 0.000
Tb 0.000 0.500 0.500
Tb 0.500 0.000 0.500
Y 0.252 0.252 0.695
Y 0.253 0.253 0.306
Y 0.257 0.741 0.180
Y 0.259 0.743 0.820
Y 0.741 0.257 0.180
Y 0.743 0.259 0.820
Y 0.747 0.747 0.694
Y 0.748 0.748 0.305
Zr 0.500 0.500 0.000

# 2
Theoretical powder diffraction line list of TbYZr2 for CuKα, from a DFT-relaxed cell (GGA-PBE, Alexandria).
No peak broadening, texture or thermal motion is included.

Principal peaks in the range 10 to 90 degrees two-theta, in order of rising 2θ:
two_theta, intensity
32.6, 100
37.2, 17
38.2, 32
54.4, 23
64.2, 14
65.6, 26
68.4, 11
89.6, 11

Structural model:
Lattice parameters (Å, degrees): 4.711 4.711 4.836 90.00 90.00 90.00
Positions (direct):
Tb 0.000 0.000 0.000
Y 0.500 0.500 0.000
Zr 0.000 0.500 0.500
Zr 0.500 0.000 0.500

# 3
Theoretical powder diffraction line list of Tb4Y5Zr for CuKα, from a DFT-relaxed cell (GGA-PBE, Alexandria).
No peak broadening, texture or thermal motion is included.

Principal peaks in the range 10 to 90 degrees two-theta, in order of rising 2θ:
two_theta, intensity
31.1, 100
36.1, 50
51.9, 23
52.0, 11
61.7, 16
61.8, 20
64.8, 9
84.9, 9

Structural model:
Lattice parameters (Å, degrees): 6.113 3.520 14.517 90.00 98.17 90.00
Positions (direct):
Tb 0.098 0.000 0.310
Tb 0.393 0.500 0.695
Tb 0.607 0.500 0.305
Tb 0.902 0.000 0.690
Y 0.200 0.500 0.102
Y 0.299 0.000 0.899
Y 0.500 0.000 0.500
Y 0.701 0.000 0.101
Y 0.800 0.500 0.898
Zr 0.000 0.500 0.500